This entry pairs a crystal structure of CeThTcHg with its computed powder diffraction line list. Radiation: CuKα. Structure: DFT lattice parameters and positions (PBE).
No peak broadening, texture or thermal motion is included.

Largest 10 diffraction maxima, in order of falling intensity, 2θ = 5–70°:
Position (°2θ), Rel. int., (hkl)
34.86, 100, 1 1 1
36.54, 24, 0 2 0
33.00, 22, 0 0 2
64.70, 17, 1 3 1
37.86, 15, 0 1 2
50.05, 14, 0 2 2
29.58, 13, 1 0 1
50.21, 10, 2 0 0
60.14, 10, 1 1 3
63.68, 10, 2 2 0

Crystal structure
```
data_CeThTcHg
_cell_length_a 3.6341
_cell_length_b 4.9181
_cell_length_c 5.4293
_cell_angle_alpha 90.00
_cell_angle_beta 90.00
_cell_angle_gamma 90.00
_symmetry_space_group_name_H-M 'P m m 2'
_symmetry_Int_Tables_number 25
_symmetry_space_group_name_Hall 'P 2 -2'
loop_
_atom_site_label
_atom_site_type_symbol
_atom_site_fract_x
_atom_site_fract_y
_atom_site_fract_z
_atom_site_occupancy
Ce1 Ce 0.0000 0.0000 0.0000 1
Th1 Th 0.0000 0.5000 0.5566 1
Tc1 Tc 0.5000 0.0000 0.4407 1
Hg1 Hg 0.5000 0.5000 0.0798 1
```